Record 1
LiLa3Ru: theoretical powder XRD pattern (λ = 1.5418 Å (Cu Kα)), based on the GGA-PBE geometry in Alexandria.
Intensities are scaled so that the largest is 1000.

Structural model:
```
LiLa3Ru
1.0
3.939 2.274 6.345
-3.939 2.274 6.345
0.000 -4.548 6.345
Li La Ru
2 6 2
Cartesian
0.000 0.000 4.759 Li
0.000 0.000 14.276 Li
-2.171 0.788 7.931 La
-1.768 -1.486 11.103 La
0.403 -2.274 7.931 La
-0.403 2.274 11.103 La
1.768 1.486 7.931 La
2.171 -0.788 11.103 La
0.000 0.000 0.000 Ru
0.000 0.000 9.517 Ru
```

Top 6 peaks for 15 to 90 degrees two-theta, in order of falling intensity:
2θ = 15.98°, rel. 1000
2θ = 32.29°, rel. 787
2θ = 27.78°, rel. 357
2θ = 26.64°, rel. 341
2θ = 36.36°, rel. 326
2θ = 46.54°, rel. 283

***

Record 2
Tb2PrYHo: theoretical powder XRD pattern (λ = 1.5418 Å (Cu Kα)), based on the GGA-PBE geometry in Alexandria.
Intensities are scaled so that the largest is 1000.

Structural model:
```
Tb2PrYHo
1.0
4.219 -5.780 0.000
4.219 5.780 0.000
0.000 0.000 7.239
Tb Pr Y Ho
4 2 2 2
Cartesian
1.600 0.000 0.000 Tb
1.600 0.000 3.619 Tb
6.839 0.000 0.000 Tb
6.839 0.000 3.619 Tb
4.219 3.157 5.429 Pr
4.219 -3.157 1.810 Pr
4.219 0.021 5.429 Y
4.219 -0.021 1.810 Y
4.219 3.200 1.810 Ho
4.219 -3.200 5.429 Ho
```

Top 6 peaks for 15 to 90 degrees two-theta, in order of falling intensity:
2θ = 32.60°, rel. 1000
2θ = 29.11°, rel. 908
2θ = 26.15°, rel. 822
2θ = 45.56°, rel. 647
2θ = 30.94°, rel. 626
2θ = 35.66°, rel. 483

***

Record 3
Ac2Tb3Ho8: theoretical powder XRD pattern (λ = 1.5418 Å (Cu Kα)), based on the GGA-PBE geometry in Alexandria.
Intensities are scaled so that the largest is 1000.

Structural model:
```
Ac2Tb3Ho8
1.0
10.832 -3.878 0.000
10.832 3.878 0.000
-0.001 0.000 5.464
Ac Tb Ho
2 3 8
Cartesian
5.184 0.000 2.729 Ac
16.479 0.000 2.735 Ac
-0.001 0.000 2.732 Tb
10.832 1.599 0.000 Tb
10.832 -1.599 0.000 Tb
2.558 0.000 5.463 Ho
8.607 1.649 2.731 Ho
7.545 0.000 5.462 Ho
13.055 1.649 2.733 Ho
8.607 -1.649 2.731 Ho
14.118 0.000 0.002 Ho
13.055 -1.649 2.733 Ho
19.104 0.000 0.001 Ho
```

Top 6 peaks for 15 to 90 degrees two-theta, in order of falling intensity:
2θ = 32.79°, rel. 1000
2θ = 29.66°, rel. 203
2θ = 28.71°, rel. 199
2θ = 58.53°, rel. 175
2θ = 24.38°, rel. 134
2θ = 33.08°, rel. 114

***

Record 4
Cd2Cu7Sb2Au: theoretical powder XRD pattern (λ = 1.5418 Å (Cu Kα)), based on the GGA-PBE geometry in Alexandria.
Intensities are scaled so that the largest is 1000.

Structural model:
```
Cd2Cu7Sb2Au
1.0
2.586 -2.590 0.000
2.586 2.590 0.000
-2.538 0.000 15.631
Cd Cu Sb Au
2 7 2 1
Cartesian
0.003 0.000 4.041 Cd
2.631 0.000 11.590 Cd
0.000 0.000 0.000 Cu
1.294 1.295 1.971 Cu
0.003 0.000 7.036 Cu
1.339 1.295 13.660 Cu
1.294 -1.295 1.971 Cu
2.630 0.000 8.595 Cu
1.339 -1.295 13.660 Cu
0.043 0.000 9.664 Sb
2.591 0.000 5.967 Sb
2.586 0.000 0.000 Au
```

Top 6 peaks for 15 to 90 degrees two-theta, in order of falling intensity:
2θ = 40.17°, rel. 1000
2θ = 28.26°, rel. 936
2θ = 38.86°, rel. 811
2θ = 49.84°, rel. 792
2θ = 34.67°, rel. 614
2θ = 41.84°, rel. 493

***

Record 5
Dy2YGa: theoretical powder XRD pattern (λ = 1.5418 Å (Cu Kα)), based on the GGA-PBE geometry in Alexandria.
Intensities are scaled so that the largest is 1000.

Structural model:
```
Dy2YGa
1.0
2.103 -5.920 0.000
2.103 5.920 0.000
0.000 0.000 9.142
Dy Y Ga
4 2 2
Cartesian
2.103 4.216 5.099 Dy
2.103 4.216 8.614 Dy
2.103 -4.216 0.528 Dy
2.103 -4.216 4.043 Dy
2.103 0.718 6.857 Y
2.103 -0.718 2.286 Y
2.103 3.028 2.286 Ga
2.103 -3.028 6.857 Ga
```

Top 6 peaks for 15 to 90 degrees two-theta, in order of falling intensity:
2θ = 29.84°, rel. 1000
2θ = 31.07°, rel. 965
2θ = 33.06°, rel. 853
2θ = 37.22°, rel. 726
2θ = 32.62°, rel. 619
2θ = 55.31°, rel. 535